Starting from a PBE+U-relaxed structure, the powder diffraction line list of RbNa2Mn3P4ClO14 was simulated for Cu Kα, 1.54184 Å.

The 10 most intense peaks (2θ from 15° to 90°), by intensity:
2θ 30.54, I 100; 2θ 29.17, I 92; 2θ 30.10, I 89; 2θ 28.57, I 71; 2θ 33.77, I 64; 2θ 24.15, I 49; 2θ 42.30, I 37; 2θ 26.84, I 35; 2θ 43.00, I 34; 2θ 52.10, I 26

Structural model:
a = 11.0748 Å, b = 11.0748 Å, c = 14.0378 Å
α = 118.41°, β = 118.41°, γ = 27.73°
Fractional positions:
Rb 0.0000 0.0000 0.0000
Rb 0.0000 0.0000 0.5000
Na 0.1961 0.2445 0.1534
Na 0.2445 0.1961 0.6534
Na 0.7555 0.8039 0.3466
Na 0.8039 0.7555 0.8466
Mn 0.1443 0.1706 0.8460
Mn 0.1706 0.1443 0.3460
Mn 0.4441 0.5559 0.2500
Mn 0.5559 0.4441 0.7500
Mn 0.8294 0.8557 0.6540
Mn 0.8557 0.8294 0.1540
P 0.3287 0.3558 0.5061
P 0.3558 0.3287 0.0061
P 0.3750 0.3867 0.3277
P 0.3867 0.3750 0.8277
P 0.6133 0.6250 0.1723
P 0.6250 0.6133 0.6723
P 0.6442 0.6713 0.9939
P 0.6713 0.6442 0.4939
Cl 0.0410 0.9590 0.7500
Cl 0.9590 0.0410 0.2500
O 0.0430 0.6412 0.5222
O 0.0812 0.6082 0.2900
O 0.1247 0.5426 0.7543
O 0.1741 0.3639 0.9273
O 0.2485 0.5153 0.1145
O 0.3461 0.4370 0.9498
O 0.3588 0.9570 0.9778
O 0.3639 0.1741 0.4273
O 0.3918 0.9188 0.2100
O 0.4370 0.3461 0.4498
O 0.4574 0.8753 0.7457
O 0.4577 0.4586 0.3523
O 0.4586 0.4577 0.8523
O 0.4847 0.7515 0.3855
O 0.5153 0.2485 0.6145
O 0.5414 0.5423 0.1477
O 0.5423 0.5414 0.6477
O 0.5426 0.1247 0.2543
O 0.5630 0.6539 0.5502
O 0.6082 0.0812 0.7900
O 0.6361 0.8259 0.5727
O 0.6412 0.0430 0.0222
O 0.6539 0.5630 0.0502
O 0.7515 0.4847 0.8855
O 0.8259 0.6361 0.0727
O 0.8753 0.4574 0.2457
O 0.9188 0.3918 0.7100
O 0.9570 0.3588 0.4778